Calculated X-ray diffraction stick pattern of TcNiAgO4 for copper Kα, from a DFT-relaxed cell (GGA+U, Alexandria).

Crystal structure
Lattice parameters (Å, degrees): 5.670 6.193 6.678 90.00 114.57 90.00
Sites, in units of the cell vectors:
Tc (0.186, 0.250, 0.317)
Tc (0.814, 0.750, 0.683)
Ni (0.229, 0.750, 0.452)
Ni (0.771, 0.250, 0.548)
Ag (0.447, 0.250, 0.921)
Ag (0.553, 0.750, 0.079)
O (0.023, 0.503, 0.267)
O (0.023, 0.997, 0.267)
O (0.455, 0.250, 0.605)
O (0.485, 0.250, 0.250)
O (0.515, 0.750, 0.750)
O (0.545, 0.750, 0.395)
O (0.977, 0.003, 0.733)
O (0.977, 0.497, 0.733)

Top 8 peaks for 10° ≤ 2θ ≤ 90°, sorted by position:
Position (°2θ)	d/Å	Rel. int.
26.9	3.310	601
27.2	3.280	799
28.8	3.096	1000
30.6	2.919	365
30.8	2.899	450
31.6	2.835	728
39.9	2.261	352
43.3	2.091	549